# Y5Pd2
Computed XRD peak list, Cu Ka. Input: a cell relaxed with PBE.
Lines closer than 0.1° are merged.

Top 8 peaks for 2θ from 5° to 70°, low angle first:
| 2theta | intensity |
| --- | --- |
| 19.63 | 55.4 |
| 30.26 | 76.1 |
| 31.42 | 100.0 |
| 31.63 | 60.1 |
| 32.44 | 93.9 |
| 34.10 | 53.0 |
| 34.86 | 52.8 |
| 35.34 | 58.3 |

Cell and atoms:
```
data_Y5Pd2
_symmetry_space_group_name_H-M 'P 1'
_symmetry_Int_Tables_number 1
_symmetry_space_group_name_Hall 'P 1'
_cell_length_a 8.944
_cell_length_b 8.944
_cell_length_c 7.088
_cell_angle_alpha 96.11
_cell_angle_beta 96.11
_cell_angle_gamma 43.17
loop_
_atom_site_label
_atom_site_type_symbol
_atom_site_fract_x
_atom_site_fract_y
_atom_site_fract_z
Y1 Y 0.068 0.932 0.750
Y2 Y 0.153 0.287 0.309
Y3 Y 0.287 0.153 0.809
Y4 Y 0.292 0.518 0.071
Y5 Y 0.482 0.708 0.429
Y6 Y 0.518 0.292 0.571
Y7 Y 0.708 0.482 0.929
Y8 Y 0.713 0.847 0.191
Y9 Y 0.847 0.713 0.691
Y10 Y 0.932 0.068 0.250
Pd1 Pd 0.092 0.686 0.431
Pd2 Pd 0.314 0.908 0.069
Pd3 Pd 0.686 0.092 0.931
Pd4 Pd 0.908 0.314 0.569
```